Entry 1:
Diffraction record for Pr3Al12Os4. The XRD peak list is computed, not measured: it uses a DFT-relaxed cell (GGA-PBE, the Materials Project) and λ = 1.5418 Å (Cu Kα).
Intensities are scaled so that the largest is 100.

Crystal structure
a b c (Å): 8.924 8.924 9.702
angles (deg): 90.00 90.00 120.00
Atoms (fractional coordinates):
Pr 0.193 0.385 0.250
Pr 0.193 0.807 0.250
Pr 0.385 0.193 0.750
Pr 0.615 0.807 0.250
Pr 0.807 0.193 0.750
Pr 0.807 0.615 0.750
Al 0.000 0.000 0.250
Al 0.000 0.000 0.750
Al 0.125 0.562 0.750
Al 0.163 0.325 0.575
Al 0.163 0.325 0.925
Al 0.163 0.837 0.575
Al 0.163 0.837 0.925
Al 0.325 0.163 0.075
Al 0.325 0.163 0.425
Al 0.333 0.667 0.011
Al 0.333 0.667 0.489
Al 0.438 0.562 0.750
Al 0.438 0.875 0.750
Al 0.562 0.125 0.250
Al 0.562 0.438 0.250
Al 0.667 0.333 0.511
Al 0.667 0.333 0.989
Al 0.675 0.837 0.575
Al 0.675 0.837 0.925
Al 0.837 0.163 0.075
Al 0.837 0.163 0.425
Al 0.837 0.675 0.075
Al 0.837 0.675 0.425
Al 0.875 0.438 0.250
Os 0.000 0.000 0.000
Os 0.000 0.000 0.500
Os 0.000 0.500 0.000
Os 0.000 0.500 0.500
Os 0.500 0.000 0.000
Os 0.500 0.000 0.500
Os 0.500 0.500 0.000
Os 0.500 0.500 0.500

Most intense lines, 2θ = 10–80°, in order of falling intensity:
| 2θ/deg | intensity |
| --- | --- |
| 29.55 | 100 |
| 40.43 | 55 |
| 23.02 | 37 |
| 56.00 | 30 |
| 37.06 | 24 |
| 36.22 | 22 |



Entry 2:
Diffraction record for PrAl10Os2. The XRD peak list is computed, not measured: it uses a DFT-relaxed cell (GGA-PBE, the Materials Project) and λ = 1.5418 Å (Cu Kα).
Intensities are scaled so that the largest is 100.

Crystal structure
a b c (Å): 6.889 6.889 9.202
angles (deg): 90.00 90.00 96.43
Atoms (fractional coordinates):
Pr 0.126 0.874 0.750
Pr 0.874 0.126 0.250
Al 0.140 0.413 0.750
Al 0.160 0.840 0.102
Al 0.160 0.840 0.398
Al 0.221 0.483 0.250
Al 0.228 0.228 0.000
Al 0.228 0.228 0.500
Al 0.377 0.623 0.549
Al 0.377 0.623 0.951
Al 0.413 0.140 0.250
Al 0.483 0.221 0.750
Al 0.517 0.779 0.250
Al 0.587 0.860 0.750
Al 0.623 0.377 0.049
Al 0.623 0.377 0.451
Al 0.772 0.772 0.000
Al 0.772 0.772 0.500
Al 0.779 0.517 0.750
Al 0.840 0.160 0.602
Al 0.840 0.160 0.898
Al 0.860 0.587 0.250
Os 0.000 0.500 0.000
Os 0.000 0.500 0.500
Os 0.500 0.000 0.000
Os 0.500 0.000 0.500

Most intense lines, 2θ = 10–80°, in order of falling intensity:
| 2θ/deg | intensity |
| --- | --- |
| 40.22 | 100 |
| 26.02 | 81 |
| 27.45 | 72 |
| 17.26 | 70 |
| 39.21 | 63 |
| 57.43 | 60 |



Entry 3:
Diffraction record for Sc6Al16Os7. The XRD peak list is computed, not measured: it uses a DFT-relaxed cell (GGA-PBE, the Materials Project) and λ = 1.5418 Å (Cu Kα).
Intensities are scaled so that the largest is 100.

Crystal structure
a b c (Å): 8.773 8.773 8.773
angles (deg): 60.00 60.00 60.00
Atoms (fractional coordinates):
Sc 0.212 0.212 0.788
Sc 0.212 0.788 0.212
Sc 0.212 0.788 0.788
Sc 0.788 0.212 0.212
Sc 0.788 0.212 0.788
Sc 0.788 0.788 0.212
Al 0.138 0.621 0.621
Al 0.163 0.163 0.163
Al 0.163 0.163 0.511
Al 0.163 0.511 0.163
Al 0.379 0.379 0.379
Al 0.379 0.379 0.862
Al 0.379 0.862 0.379
Al 0.489 0.837 0.837
Al 0.511 0.163 0.163
Al 0.621 0.138 0.621
Al 0.621 0.621 0.138
Al 0.621 0.621 0.621
Al 0.837 0.489 0.837
Al 0.837 0.837 0.489
Al 0.837 0.837 0.837
Al 0.862 0.379 0.379
Os 0.000 0.000 0.500
Os 0.000 0.500 0.000
Os 0.000 0.500 0.500
Os 0.500 0.000 0.000
Os 0.500 0.000 0.500
Os 0.500 0.500 0.000
Os 0.500 0.500 0.500

Most intense lines, 2θ = 10–80°, in order of falling intensity:
| 2θ/deg | intensity |
| --- | --- |
| 41.16 | 100 |
| 24.86 | 84 |
| 28.78 | 58 |
| 48.68 | 55 |
| 75.01 | 27 |
| 67.53 | 23 |



Entry 4:
Diffraction record for Sm3Al12Os4. The XRD peak list is computed, not measured: it uses a DFT-relaxed cell (GGA-PBE, the Materials Project) and λ = 1.5418 Å (Cu Kα).
Intensities are scaled so that the largest is 100.

Crystal structure
a b c (Å): 8.892 8.892 9.638
angles (deg): 90.00 90.00 120.00
Atoms (fractional coordinates):
Sm 0.192 0.385 0.250
Sm 0.192 0.808 0.250
Sm 0.385 0.192 0.750
Sm 0.615 0.808 0.250
Sm 0.808 0.192 0.750
Sm 0.808 0.615 0.750
Al 0.000 0.000 0.250
Al 0.000 0.000 0.750
Al 0.121 0.561 0.750
Al 0.163 0.326 0.575
Al 0.163 0.326 0.925
Al 0.163 0.837 0.575
Al 0.163 0.837 0.925
Al 0.326 0.163 0.075
Al 0.326 0.163 0.425
Al 0.333 0.667 0.013
Al 0.333 0.667 0.487
Al 0.439 0.561 0.750
Al 0.439 0.879 0.750
Al 0.561 0.121 0.250
Al 0.561 0.439 0.250
Al 0.667 0.333 0.513
Al 0.667 0.333 0.987
Al 0.674 0.837 0.575
Al 0.674 0.837 0.925
Al 0.837 0.163 0.075
Al 0.837 0.163 0.425
Al 0.837 0.674 0.075
Al 0.837 0.674 0.425
Al 0.879 0.439 0.250
Os 0.000 0.000 0.000
Os 0.000 0.000 0.500
Os 0.000 0.500 0.000
Os 0.000 0.500 0.500
Os 0.500 0.000 0.000
Os 0.500 0.000 0.500
Os 0.500 0.500 0.000
Os 0.500 0.500 0.500

Most intense lines, 2θ = 10–80°, in order of falling intensity:
| 2θ/deg | intensity |
| --- | --- |
| 29.70 | 100 |
| 40.58 | 56 |
| 23.10 | 35 |
| 56.31 | 30 |
| 37.32 | 24 |
| 36.42 | 23 |



Entry 5:
Diffraction record for Tb3Al12Os4. The XRD peak list is computed, not measured: it uses a DFT-relaxed cell (GGA-PBE, the Materials Project) and λ = 1.5418 Å (Cu Kα).
Intensities are scaled so that the largest is 100.

Crystal structure
a b c (Å): 8.852 8.852 9.577
angles (deg): 90.00 90.00 120.00
Atoms (fractional coordinates):
Tb 0.193 0.386 0.250
Tb 0.193 0.807 0.250
Tb 0.386 0.193 0.750
Tb 0.614 0.807 0.250
Tb 0.807 0.193 0.750
Tb 0.807 0.614 0.750
Al 0.000 0.000 0.250
Al 0.000 0.000 0.750
Al 0.121 0.560 0.750
Al 0.163 0.325 0.576
Al 0.163 0.325 0.924
Al 0.163 0.837 0.576
Al 0.163 0.837 0.924
Al 0.325 0.163 0.076
Al 0.325 0.163 0.424
Al 0.333 0.667 0.014
Al 0.333 0.667 0.486
Al 0.440 0.560 0.750
Al 0.440 0.879 0.750
Al 0.560 0.121 0.250
Al 0.560 0.440 0.250
Al 0.667 0.333 0.514
Al 0.667 0.333 0.986
Al 0.675 0.837 0.576
Al 0.675 0.837 0.924
Al 0.837 0.163 0.076
Al 0.837 0.163 0.424
Al 0.837 0.675 0.076
Al 0.837 0.675 0.424
Al 0.879 0.440 0.250
Os 0.000 0.000 0.000
Os 0.000 0.000 0.500
Os 0.000 0.500 0.000
Os 0.000 0.500 0.500
Os 0.500 0.000 0.000
Os 0.500 0.000 0.500
Os 0.500 0.500 0.000
Os 0.500 0.500 0.500

Most intense lines, 2θ = 10–80°, in order of falling intensity:
| 2θ/deg | intensity |
| --- | --- |
| 29.86 | 100 |
| 40.77 | 56 |
| 23.21 | 33 |
| 56.64 | 30 |
| 36.63 | 24 |
| 37.57 | 24 |



Entry 6:
Diffraction record for Tm2AlOs. The XRD peak list is computed, not measured: it uses a DFT-relaxed cell (GGA-PBE, the Materials Project) and λ = 1.5418 Å (Cu Kα).
Intensities are scaled so that the largest is 100.

Crystal structure
a b c (Å): 4.881 4.881 4.881
angles (deg): 60.00 60.00 60.00
Atoms (fractional coordinates):
Tm 0.250 0.250 0.250
Tm 0.750 0.750 0.750
Al 0.000 0.000 0.000
Os 0.500 0.500 0.500

Most intense lines, 2θ = 10–80°, in order of falling intensity:
| 2θ/deg | intensity |
| --- | --- |
| 36.83 | 100 |
| 66.33 | 36 |
| 22.31 | 20 |
| 53.06 | 18 |
| 78.35 | 11 |
| 43.48 | 11 |



Entry 7:
Diffraction record for Tm3Al12Os4. The XRD peak list is computed, not measured: it uses a DFT-relaxed cell (GGA-PBE, the Materials Project) and λ = 1.5418 Å (Cu Kα).
Intensities are scaled so that the largest is 100.

Crystal structure
a b c (Å): 8.811 8.811 9.532
angles (deg): 90.00 90.00 120.00
Atoms (fractional coordinates):
Tm 0.194 0.388 0.250
Tm 0.194 0.806 0.250
Tm 0.388 0.194 0.750
Tm 0.612 0.806 0.250
Tm 0.806 0.194 0.750
Tm 0.806 0.612 0.750
Al 0.000 0.000 0.250
Al 0.000 0.000 0.750
Al 0.120 0.560 0.750
Al 0.163 0.325 0.576
Al 0.163 0.325 0.924
Al 0.163 0.837 0.576
Al 0.163 0.837 0.924
Al 0.325 0.163 0.076
Al 0.325 0.163 0.424
Al 0.333 0.667 0.015
Al 0.333 0.667 0.485
Al 0.440 0.560 0.750
Al 0.440 0.880 0.750
Al 0.560 0.120 0.250
Al 0.560 0.440 0.250
Al 0.667 0.333 0.515
Al 0.667 0.333 0.985
Al 0.675 0.837 0.576
Al 0.675 0.837 0.924
Al 0.837 0.163 0.076
Al 0.837 0.163 0.424
Al 0.837 0.675 0.076
Al 0.837 0.675 0.424
Al 0.880 0.440 0.250
Os 0.000 0.000 0.000
Os 0.000 0.000 0.500
Os 0.000 0.500 0.000
Os 0.000 0.500 0.500
Os 0.500 0.000 0.000
Os 0.500 0.000 0.500
Os 0.500 0.500 0.000
Os 0.500 0.500 0.500

Most intense lines, 2θ = 10–80°, in order of falling intensity:
| 2θ/deg | intensity |
| --- | --- |
| 30.00 | 100 |
| 40.97 | 55 |
| 23.31 | 31 |
| 56.93 | 30 |
| 36.81 | 25 |
| 37.75 | 24 |



Entry 8:
Diffraction record for U2Al3Os. The XRD peak list is computed, not measured: it uses a DFT-relaxed cell (GGA-PBE, the Materials Project) and λ = 1.5418 Å (Cu Kα).
Intensities are scaled so that the largest is 100.

Crystal structure
a b c (Å): 5.343 5.343 8.893
angles (deg): 90.00 90.00 120.00
Atoms (fractional coordinates):
U 0.333 0.667 0.052
U 0.333 0.667 0.448
U 0.667 0.333 0.552
U 0.667 0.333 0.948
Al 0.166 0.331 0.750
Al 0.166 0.834 0.750
Al 0.331 0.166 0.250
Al 0.669 0.834 0.750
Al 0.834 0.166 0.250
Al 0.834 0.669 0.250
Os 0.000 0.000 0.000
Os 0.000 0.000 0.500

Most intense lines, 2θ = 10–80°, in order of falling intensity:
| 2θ/deg | intensity |
| --- | --- |
| 39.34 | 100 |
| 33.54 | 87 |
| 19.97 | 58 |
| 35.98 | 47 |
| 63.88 | 25 |
| 61.56 | 21 |



- Which formula does entry 8 have?
  U2Al3Os